# 1
For Dy4Si2Pb, the GGA-PBE geometry in Alexandria gives the theoretical powder diffraction line list in this record (Cu Kα X-rays).
Intensities are scaled so that the largest is 100.

```
data_Dy4Si2Pb
_chemical_formula_sum 'Dy32 Si16 Pb8'
_symmetry_space_group_name_H-M 'F d d d'
_symmetry_Int_Tables_number 70
_cell_length_a 9.3194
_cell_length_b 13.2261
_cell_length_c 13.2562
_cell_angle_alpha 90.00
_cell_angle_beta 90.00
_cell_angle_gamma 90.00
loop_
_symmetry_equiv_pos_as_xyz
'x,y,z'
'-x,-y,-z'
'-x+1/4,-y+1/4,z'
'x+1/4,y+1/4,-z'
'x,-y+1/4,-z+1/4'
'-x,y+1/4,z+1/4'
'-x+1/4,y,-z+1/4'
'x+1/4,-y,z+1/4'
'x,y+1/2,z+1/2'
'-x,-y+1/2,-z+1/2'
'-x+1/4,-y+3/4,z+1/2'
'x+1/4,y+3/4,-z+1/2'
'x,-y+3/4,-z+3/4'
'-x,y+3/4,z+3/4'
'-x+1/4,y+1/2,-z+3/4'
'x+1/4,-y+1/2,z+3/4'
'x+1/2,y,z+1/2'
'-x+1/2,-y,-z+1/2'
'-x+3/4,-y+1/4,z+1/2'
'x+3/4,y+1/4,-z+1/2'
'x+1/2,-y+1/4,-z+3/4'
'-x+1/2,y+1/4,z+3/4'
'-x+3/4,y,-z+3/4'
'x+3/4,-y,z+3/4'
'x+1/2,y+1/2,z'
'-x+1/2,-y+1/2,-z'
'-x+3/4,-y+3/4,z'
'x+3/4,y+3/4,-z'
'x+1/2,-y+3/4,-z+1/4'
'-x+1/2,y+3/4,z+1/4'
'-x+3/4,y+1/2,-z+1/4'
'x+3/4,-y+1/2,z+1/4'
loop_
_atom_site_label
_atom_site_type_symbol
_atom_site_fract_x
_atom_site_fract_y
_atom_site_fract_z
Dy1 Dy 0.0443 0.2851 0.4646
Si1 Si 0.0000 0.0000 0.0000
Pb1 Pb 0.1250 0.1250 0.6250
```

The 12 most intense peaks (10 to 80 degrees two-theta), low angle first:
2θ/deg  intensity  hkl
19.0  47.9  0 2 2
27.0  73.1  2 2 2
30.2  76.0  1 3 3
30.3  75.6  3 1 1
35.9  100.0  1 1 5
38.5  21.3  0 4 4
45.5  33.9  2 0 6
47.7  16.7  4 4 0
49.7  31.8  4 2 4
57.5  17.2  3 5 5
59.2  14.9  0 6 6
68.0  19.7  1 9 3


# 2
For SrIn6Ni2, the GGA-PBE geometry in Alexandria gives the theoretical powder diffraction line list in this record (Cu Kα X-rays).
Intensities are scaled so that the largest is 100.

Cell: 12.8635 12.8635 12.8635 Å, 90.00 90.00 90.00°
Space group Fd-3m (No. 227, origin choice 2)
Asymmetric unit:
Sr 0.1250 0.1250 0.1250 x8
In 0.0861 0.3750 0.8750 x48
Ni 0.0000 0.0000 0.5000 x16

The 12 most intense peaks (10 to 80 degrees two-theta), low angle first:
2θ/deg  intensity  hkl
11.9  37.3  1 1 1
22.9  41.8  3 1 1
27.7  79.3  4 0 0
30.3  26.1  3 3 1
34.1  22.4  4 2 2
36.3  41.4  3 3 3
39.6  100.0  4 4 0
50.7  24.7  5 5 1
54.8  39.4  7 3 1
58.8  17.6  7 3 3
61.1  21.8  8 2 2
76.6  21.6  7 7 3


# 3
For Mn2Ga5Ni12, the GGA-PBE geometry in Alexandria gives the theoretical powder diffraction line list in this record (Cu Kα X-rays).
Intensities are scaled so that the largest is 100.

```
data_Mn2Ga5Ni12
_chemical_formula_sum 'Mn4 Ga10 Ni24'
_symmetry_space_group_name_H-M 'C 1 2/m 1'
_symmetry_Int_Tables_number 12
_symmetry_space_group_name_Hall '-C 2y'
_cell_length_a 12.5832
_cell_length_b 5.1204
_cell_length_c 7.6279
_cell_angle_alpha 90.00
_cell_angle_beta 97.99
_cell_angle_gamma 90.00
loop_
_atom_site_label
_atom_site_type_symbol
_atom_site_fract_x
_atom_site_fract_y
_atom_site_fract_z
Mn1 Mn 0.0000 0.1886 0.0000
Ga1 Ga 0.0000 0.5000 0.5000
Ga2 Ga 0.1985 0.0000 0.9533
Ga3 Ga 0.2405 0.0000 0.4827
Ni1 Ni 0.0106 0.5000 0.2084
Ni2 Ni 0.0382 0.0000 0.3467
Ni3 Ni 0.1328 0.2431 0.6778
Ni4 Ni 0.1740 0.2565 0.2107
```

The 12 most intense peaks (10 to 80 degrees two-theta), low angle first:
2θ/deg  intensity  hkl
27.7  17.1  3 1 0
40.0  27.5  4 0 2
40.5  23.4  2 0 3
41.5  21.2  1 1 3
42.7  29.3  0 2 2
43.6  45.6  6 0 -1
44.0  100.0  2 2 -2
45.9  50.6  4 2 0
46.9  18.9  6 0 -2
48.6  40.9  4 2 1
51.1  19.3  5 1 -3
53.1  20.1  4 0 -4


# 4
For Pu3Te3H, the GGA-PBE geometry in Alexandria gives the theoretical powder diffraction line list in this record (Cu Kα X-rays).
Intensities are scaled so that the largest is 100.

```
data_Pu3Te3H
_chemical_formula_sum 'Pu12 Te12 H4'
_symmetry_space_group_name_H-M 'C 1 2/m 1'
_symmetry_Int_Tables_number 12
_symmetry_space_group_name_Hall '-C 2y'
_cell_length_a 8.5027
_cell_length_b 12.2517
_cell_length_c 7.5121
_cell_angle_alpha 90.00
_cell_angle_beta 100.90
_cell_angle_gamma 90.00
loop_
_atom_site_label
_atom_site_type_symbol
_atom_site_fract_x
_atom_site_fract_y
_atom_site_fract_z
Pu1 Pu 0.1050 0.0000 0.3533
Pu2 Pu 0.1968 0.3454 0.2040
Te1 Te 0.0000 0.1549 0.0000
Te2 Te 0.0000 0.2354 0.5000
Te3 Te 0.1057 0.5000 0.8318
H1 H 0.1759 0.0000 0.6673
```

The 12 most intense peaks (10 to 80 degrees two-theta), low angle first:
2θ/deg  intensity  hkl
16.2  19.3  1 1 -1
26.2  27.6  1 3 -1
26.4  20.5  2 0 1
28.1  100.0  1 3 1
29.2  28.2  2 0 -2
32.7  50.5  2 2 -2
33.0  47.0  3 1 -1
35.4  20.3  2 0 2
36.8  28.5  1 1 -3
39.2  22.7  3 3 0
41.7  26.1  2 4 -2
60.4  19.2  4 0 -4


# 5
For La4Tl3Sn, the GGA-PBE geometry in Alexandria gives the theoretical powder diffraction line list in this record (Cu Kα X-rays).
Intensities are scaled so that the largest is 100.

```
data_La4Tl3Sn
_chemical_formula_sum 'La8 Tl6 Sn2'
_symmetry_space_group_name_H-M 'I 4/m m m'
_symmetry_Int_Tables_number 139
_symmetry_space_group_name_Hall '-I 4 2'
_cell_length_a 5.6417
_cell_length_b 5.6417
_cell_length_c 15.7752
_cell_angle_alpha 90.00
_cell_angle_beta 90.00
_cell_angle_gamma 90.00
loop_
_atom_site_label
_atom_site_type_symbol
_atom_site_fract_x
_atom_site_fract_y
_atom_site_fract_z
La1 La 0.0000 0.5000 0.1242
Tl1 Tl 0.0000 0.0000 0.0000
Tl2 Tl 0.0000 0.0000 0.2471
Sn1 Sn 0.0000 0.0000 0.5000
```

The 12 most intense peaks (10 to 80 degrees two-theta), low angle first:
2θ/deg  intensity  hkl
16.7  2.1  1 0 1
31.7  50.9  2 0 0
31.9  100.0  1 1 4
45.5  19.0  2 2 0
46.0  9.7  0 0 8
56.6  39.8  3 1 4
57.0  19.6  2 0 8
66.3  6.2  4 0 0
66.7  12.3  2 2 8
75.3  8.6  4 2 0
75.4  8.6  3 3 4
76.3  8.2  1 1 12


# 6
For Pm3Nd2PuAs6, the GGA-PBE geometry in Alexandria gives the theoretical powder diffraction line list in this record (Cu Kα X-rays).
Intensities are scaled so that the largest is 100.

```
data_Pm3Nd2PuAs6
_chemical_formula_sum 'Pm6 Nd4 Pu2 As12'
_symmetry_space_group_name_H-M 'C 1 2/m 1'
_symmetry_Int_Tables_number 12
_symmetry_space_group_name_Hall '-C 2y'
_cell_length_a 18.4310
_cell_length_b 4.2362
_cell_length_c 8.4646
_cell_angle_alpha 90.00
_cell_angle_beta 103.27
_cell_angle_gamma 90.00
loop_
_atom_site_label
_atom_site_type_symbol
_atom_site_fract_x
_atom_site_fract_y
_atom_site_fract_z
Pm1 Pm 0.0000 0.0000 0.0000
Pm2 Pm 0.1676 0.5000 0.3333
Nd1 Nd 0.1666 0.5000 0.8340
Pu1 Pu 0.0000 0.0000 0.5000
As1 As 0.0009 0.5000 0.2576
As2 As 0.1641 0.0000 0.5805
As3 As 0.1662 0.0000 0.0849
```

The 12 most intense peaks (10 to 80 degrees two-theta), low angle first:
2θ/deg  intensity  hkl
10.7  1.5  0 0 1
25.8  23.1  2 0 2
29.9  100.0  6 0 0
42.7  75.2  0 2 0
50.6  11.7  8 0 2
53.0  26.7  6 2 0
62.0  12.4  12 0 0
68.3  4.9  0 0 6
70.3  22.8  1 3 -2
70.4  11.3  13 1 -2
78.2  21.2  5 3 2
78.3  4.2  14 0 -4


# 7
For InGaIr, the GGA-PBE geometry in Alexandria gives the theoretical powder diffraction line list in this record (Cu Kα X-rays).
Intensities are scaled so that the largest is 100.

```
data_InGaIr
_chemical_formula_sum 'In1 Ga1 Ir1'
_symmetry_space_group_name_H-M 'P 4 m m'
_symmetry_Int_Tables_number 99
_symmetry_space_group_name_Hall 'P 4 -2'
_cell_length_a 3.0468
_cell_length_b 3.0468
_cell_length_c 6.0544
_cell_angle_alpha 90.00
_cell_angle_beta 90.00
_cell_angle_gamma 90.00
loop_
_atom_site_label
_atom_site_type_symbol
_atom_site_fract_x
_atom_site_fract_y
_atom_site_fract_z
In1 In 0.0000 0.0000 0.0000
Ga1 Ga 0.0000 0.0000 0.4474
Ir1 Ir 0.5000 0.5000 0.6905
```

The 12 most intense peaks (10 to 80 degrees two-theta), low angle first:
2θ/deg  intensity  hkl
14.6  61.7  0 0 1
32.9  81.6  1 0 1
41.9  56.6  1 1 0
42.1  100.0  1 0 2
44.6  15.7  1 1 1
44.9  13.2  0 0 3
60.8  18.7  2 0 0
63.1  19.1  1 1 3
70.9  18.0  2 1 1
76.7  33.7  2 1 2
77.0  11.7  1 1 4
78.7  10.2  2 0 3


# 8
For K3Rb4SnBr8, the GGA-PBE geometry in Alexandria gives the theoretical powder diffraction line list in this record (Cu Kα X-rays).
Intensities are scaled so that the largest is 100.

```
data_K3Rb4SnBr8
_chemical_formula_sum 'K6 Rb8 Sn2 Br16'
_symmetry_space_group_name_H-M 'C 1 2/m 1'
_symmetry_Int_Tables_number 12
_symmetry_space_group_name_Hall '-C 2y'
_cell_length_a 17.1095
_cell_length_b 9.4897
_cell_length_c 9.5524
_cell_angle_alpha 90.00
_cell_angle_beta 122.56
_cell_angle_gamma 90.00
loop_
_atom_site_label
_atom_site_type_symbol
_atom_site_fract_x
_atom_site_fract_y
_atom_site_fract_z
K1 K 0.0000 0.0000 0.0000
K2 K 0.2500 0.2500 0.5000
Rb1 Rb 0.0000 0.0000 0.5000
Rb2 Rb 0.0000 0.5000 0.5000
Rb3 Rb 0.2500 0.2500 0.0000
Sn1 Sn 0.0000 0.5000 0.0000
Br1 Br 0.0049 0.2634 0.2330
Br2 Br 0.2254 0.0000 0.7156
Br3 Br 0.2469 0.0000 0.2549
```

The 12 most intense peaks (10 to 80 degrees two-theta), low angle first:
2θ/deg  intensity  hkl
24.7  58.3  4 0 0
26.5  100.0  2 2 -2
36.2  40.7  2 2 2
36.8  38.7  6 2 -2
37.7  18.0  4 0 -4
37.9  19.1  0 4 0
45.0  11.3  0 0 4
45.8  20.5  4 4 0
46.1  9.8  8 0 -4
54.5  11.7  4 4 -4
57.6  9.6  6 2 2
67.8  11.1  6 6 -2


# 9
For ScTcH3, the GGA-PBE geometry in Alexandria gives the theoretical powder diffraction line list in this record (Cu Kα X-rays).
Intensities are scaled so that the largest is 100.

```
data_ScTcH3
_chemical_formula_sum 'Sc8 Tc8 H24'
_symmetry_space_group_name_H-M 'C m c e'
_symmetry_Int_Tables_number 64
_symmetry_space_group_name_Hall '-C 2ac 2'
_cell_length_a 7.3305
_cell_length_b 9.8421
_cell_length_c 4.7039
_cell_angle_alpha 90.00
_cell_angle_beta 90.00
_cell_angle_gamma 90.00
loop_
_atom_site_label
_atom_site_type_symbol
_atom_site_fract_x
_atom_site_fract_y
_atom_site_fract_z
Sc1 Sc 0.2500 0.1302 0.2500
Tc1 Tc 0.0000 0.1067 0.7447
H1 H 0.0000 0.0664 0.1352
H2 H 0.0000 0.2269 0.4514
H3 H 0.2500 0.1087 0.7500
```

The 12 most intense peaks (10 to 80 degrees two-theta), low angle first:
2θ/deg  intensity  hkl
24.3  11.8  2 0 0
26.2  16.9  0 2 1
36.0  100.0  2 2 1
36.5  22.2  0 4 0
38.3  22.6  0 0 2
49.8  10.7  4 0 0
53.9  13.9  0 4 2
63.3  8.2  4 4 0
64.5  9.1  4 0 2
65.4  12.0  2 6 1
67.7  14.8  2 2 3
76.4  9.3  4 4 2


# 10
For La2InSi4Pt3, the GGA-PBE geometry in Alexandria gives the theoretical powder diffraction line list in this record (Cu Kα X-rays).
Intensities are scaled so that the largest is 100.

```
data_La2InSi4Pt3
_chemical_formula_sum 'La2 In1 Si4 Pt3'
_symmetry_space_group_name_H-M 'P -4 m 2'
_symmetry_Int_Tables_number 115
_symmetry_space_group_name_Hall 'P -4 -2'
_cell_length_a 4.3176
_cell_length_b 4.3176
_cell_length_c 10.3190
_cell_angle_alpha 90.00
_cell_angle_beta 90.00
_cell_angle_gamma 90.00
loop_
_atom_site_label
_atom_site_type_symbol
_atom_site_fract_x
_atom_site_fract_y
_atom_site_fract_z
La1 La 0.0000 0.5000 0.2386
In1 In 0.0000 0.0000 0.5000
Si1 Si 0.0000 0.0000 0.0000
Si2 Si 0.0000 0.5000 0.6506
Si3 Si 0.5000 0.5000 0.0000
Pt1 Pt 0.0000 0.5000 0.8858
Pt2 Pt 0.5000 0.5000 0.5000
```

The 12 most intense peaks (10 to 80 degrees two-theta), low angle first:
2θ/deg  intensity  hkl
25.9  27.2  0 0 3
26.9  39.8  1 0 2
29.3  22.9  1 1 0
30.5  92.9  1 1 1
33.3  100.0  1 0 3
34.1  92.0  1 1 2
41.8  83.9  2 0 0
46.1  29.4  1 1 4
48.9  21.5  1 0 5
54.5  49.7  2 1 3
60.7  28.0  2 2 0
61.9  23.4  1 1 6


# 11
For Pr12InSi5, the GGA-PBE geometry in Alexandria gives the theoretical powder diffraction line list in this record (Cu Kα X-rays).
Intensities are scaled so that the largest is 100.

```
data_Pr12InSi5
_chemical_formula_sum 'Pr24 In2 Si10'
_symmetry_space_group_name_H-M 'I m m m'
_symmetry_Int_Tables_number 71
_symmetry_space_group_name_Hall '-I 2 2'
_cell_length_a 9.8698
_cell_length_b 10.0892
_cell_length_c 10.6881
_cell_angle_alpha 90.00
_cell_angle_beta 90.00
_cell_angle_gamma 90.00
loop_
_atom_site_label
_atom_site_type_symbol
_atom_site_fract_x
_atom_site_fract_y
_atom_site_fract_z
Pr1 Pr 0.0000 0.1984 0.2312
Pr2 Pr 0.2049 0.5000 0.1804
Pr3 Pr 0.2287 0.3184 0.5000
In1 In 0.0000 0.0000 0.5000
Si1 Si 0.0000 0.0000 0.0000
Si2 Si 0.0000 0.3785 0.0000
Si3 Si 0.0000 0.5000 0.3883
```

The 12 most intense peaks (10 to 80 degrees two-theta), low angle first:
2θ/deg  intensity  hkl
24.6  17.8  2 0 2
26.6  21.9  0 1 3
27.8  28.1  0 3 1
28.5  20.4  3 1 0
30.4  100.0  2 2 2
32.2  44.7  2 1 3
32.7  33.3  1 3 2
33.3  21.8  2 3 1
33.6  27.6  0 0 4
36.4  23.3  4 0 0
55.6  16.1  2 5 3
56.8  18.7  5 3 2


# 12
For U4PS3, the GGA-PBE geometry in Alexandria gives the theoretical powder diffraction line list in this record (Cu Kα X-rays).
Intensities are scaled so that the largest is 100.

```
data_U4PS3
_chemical_formula_sum 'U4 P1 S3'
_symmetry_space_group_name_H-M 'P m -3 m'
_symmetry_Int_Tables_number 221
_symmetry_space_group_name_Hall '-P 4 2 3'
_cell_length_a 5.4785
_cell_length_b 5.4785
_cell_length_c 5.4785
_cell_angle_alpha 90.00
_cell_angle_beta 90.00
_cell_angle_gamma 90.00
loop_
_atom_site_label
_atom_site_type_symbol
_atom_site_fract_x
_atom_site_fract_y
_atom_site_fract_z
U1 U 0.0000 0.0000 0.0000
U2 U 0.0000 0.5000 0.5000
P1 P 0.5000 0.5000 0.5000
S1 S 0.0000 0.0000 0.5000
```

The 8 most intense peaks (10 to 80 degrees two-theta), low angle first:
2θ/deg  intensity  hkl
28.2  100.0  1 1 1
32.7  93.7  2 0 0
46.9  68.9  2 2 0
55.6  49.7  3 1 1
58.3  24.3  2 2 2
68.5  11.5  4 0 0
75.7  21.4  3 3 1
78.0  33.0  4 2 0


# 13
For Cs2RbH6Ru, the GGA-PBE geometry in Alexandria gives the theoretical powder diffraction line list in this record (Cu Kα X-rays).
Intensities are scaled so that the largest is 100.

```
data_Cs2RbH6Ru
_chemical_formula_sum 'Cs8 Rb4 H24 Ru4'
_symmetry_space_group_name_H-M 'F m -3 m'
_symmetry_Int_Tables_number 225
_symmetry_space_group_name_Hall '-F 4 2 3'
_cell_length_a 9.0259
_cell_length_b 9.0259
_cell_length_c 9.0259
_cell_angle_alpha 90.00
_cell_angle_beta 90.00
_cell_angle_gamma 90.00
loop_
_atom_site_label
_atom_site_type_symbol
_atom_site_fract_x
_atom_site_fract_y
_atom_site_fract_z
Cs1 Cs 0.2500 0.2500 0.2500
Rb1 Rb 0.0000 0.0000 0.0000
H1 H 0.0000 0.0000 0.3074
Ru1 Ru 0.0000 0.0000 0.5000
```

The 12 most intense peaks (10 to 80 degrees two-theta), low angle first:
2θ/deg  intensity  hkl
17.0  0.5  1 1 1
19.7  2.4  2 0 0
28.0  100.0  2 2 0
34.4  1.1  2 2 2
40.0  19.4  4 0 0
44.9  1.3  4 2 0
49.5  40.0  4 2 2
57.8  12.8  4 4 0
61.7  0.7  4 4 2
65.4  17.6  6 2 0
72.6  4.3  4 4 4
79.5  20.3  6 4 2